[1]
The following is a calculated powder XRD pattern of Hf2ZrSc5. It was derived from the GGA-PBE geometry in Alexandria, using Cu Kα, 1.54184 Å.
Intensities are scaled so that the largest is 100.

Top 8 peaks for 15° ≤ 2θ ≤ 90°, by angle:
2θ (°)  I/Imax
16.1  50
21.8  22
33.0  35
35.2  100
36.1  21
37.8  38
40.2  49
56.7  14

Crystal structure
```
Hf2ZrSc5
1.0
3.188 0.000 0.000
0.000 8.145 0.000
-3.169 0.000 14.945
Hf Zr Sc
4 2 10
Cartesian
-0.787 0.237 6.285
-2.372 7.908 13.758
2.390 0.237 1.187
0.806 7.908 8.660
-2.377 3.096 11.209
-0.792 5.049 3.736
-0.782 2.518 8.353
0.803 5.627 0.881
0.790 2.754 2.115
-0.795 5.391 9.587
-0.783 0.416 11.209
0.802 7.729 3.736
0.813 2.754 5.358
-0.771 5.391 12.830
-0.784 2.518 14.064
0.800 5.627 6.592
```



[2]
The following is a calculated powder XRD pattern of Hf23Se25. It was derived from the GGA-PBE geometry in Alexandria, using Cu Kα, 1.54184 Å.
Intensities are scaled so that the largest is 100.

Top 8 peaks for 15° ≤ 2θ ≤ 90°, by angle:
2θ (°)  I/Imax
29.2  45
38.6  100
50.8  10
51.7  27
59.6  12
66.3  20
87.4  10
88.8  16

Crystal structure
```
Hf23Se25
1.0
7.933 0.000 0.000
-1.677 7.834 0.000
-0.063 -2.298 15.669
Hf Se
23 25
Cartesian
0.000 0.000 0.000
-0.158 0.003 10.157
-0.102 2.452 4.418
-0.157 2.559 14.441
-0.124 4.938 8.842
1.443 -0.440 13.235
1.521 2.028 7.485
1.464 4.365 1.926
1.427 4.478 11.921
3.153 -0.901 6.346
3.097 1.438 0.616
3.061 3.922 5.064
3.001 4.032 15.073
2.979 6.395 9.451
4.731 0.934 3.855
4.655 1.095 13.864
4.626 3.478 8.140
4.576 5.810 2.631
4.591 5.957 12.579
6.228 0.506 6.920
6.292 2.911 1.336
6.250 2.954 11.398
6.163 5.368 5.700
-0.897 4.754 3.186
-0.953 4.806 13.197
0.724 -0.600 7.585
0.737 1.738 1.955
0.724 1.865 11.946
0.649 4.313 6.305
0.679 6.643 0.702
2.298 -1.058 10.700
2.275 1.297 5.011
2.244 1.415 15.065
2.253 3.771 9.460
2.180 6.188 3.801
3.865 -1.515 13.808
3.872 0.860 8.256
3.865 3.187 2.549
3.798 3.338 12.566
3.810 5.743 6.950
5.515 0.282 1.314
5.376 0.381 11.323
5.453 2.775 5.677
5.457 5.218 0.097
5.391 5.212 10.078
7.130 -0.160 4.430
7.006 -0.048 14.480
7.037 2.304 8.839
```



[3]
The following is a calculated powder XRD pattern of Hf3SiSe3. It was derived from the GGA-PBE geometry in Alexandria, using Cu Kα, 1.54184 Å.
Intensities are scaled so that the largest is 100.

Top 8 peaks for 15° ≤ 2θ ≤ 90°, by angle:
2θ (°)  I/Imax
20.3  20
28.9  20
31.3  26
33.5  100
48.1  71
59.9  24
80.3  31
89.9  24

Crystal structure
```
Hf3SiSe3
1.0
-5.347 5.347 5.347
5.347 -5.347 5.347
5.347 5.347 -5.347
Hf Si Se
12 4 12
Cartesian
1.400 1.337 -1.273
6.620 1.400 -1.337
1.337 -1.273 1.400
4.074 3.947 -1.337
3.947 1.337 1.273
-1.273 1.400 1.337
3.947 -1.337 4.074
1.337 1.273 3.947
1.273 3.947 1.337
1.400 -1.337 6.620
-1.337 6.620 1.400
-1.337 4.074 3.947
4.010 1.337 -1.337
1.337 1.337 1.337
1.337 -1.337 4.010
-1.337 4.010 1.337
6.684 1.282 1.391
6.684 -1.282 3.956
3.956 6.684 -1.282
4.065 1.391 4.010
4.010 4.065 1.391
1.391 6.684 1.282
6.629 3.956 4.010
1.391 4.010 4.065
1.282 1.391 6.684
4.010 6.629 3.956
-1.282 3.956 6.684
3.956 4.010 6.629
```



What did the second record say?
The following is a calculated powder XRD pattern of Hf23Se25. It was derived from the GGA-PBE geometry in Alexandria, using Cu Kα, 1.54184 Å.
Intensities are scaled so that the largest is 100.

Top 8 peaks for 15° ≤ 2θ ≤ 90°, by angle:
2θ (°)  I/Imax
29.2  45
38.6  100
50.8  10
51.7  27
59.6  12
66.3  20
87.4  10
88.8  16

Crystal structure
```
Hf23Se25
1.0
7.933 0.000 0.000
-1.677 7.834 0.000
-0.063 -2.298 15.669
Hf Se
23 25
Cartesian
0.000 0.000 0.000
-0.158 0.003 10.157
-0.102 2.452 4.418
-0.157 2.559 14.441
-0.124 4.938 8.842
1.443 -0.440 13.235
1.521 2.028 7.485
1.464 4.365 1.926
1.427 4.478 11.921
3.153 -0.901 6.346
3.097 1.438 0.616
3.061 3.922 5.064
3.001 4.032 15.073
2.979 6.395 9.451
4.731 0.934 3.855
4.655 1.095 13.864
4.626 3.478 8.140
4.576 5.810 2.631
4.591 5.957 12.579
6.228 0.506 6.920
6.292 2.911 1.336
6.250 2.954 11.398
6.163 5.368 5.700
-0.897 4.754 3.186
-0.953 4.806 13.197
0.724 -0.600 7.585
0.737 1.738 1.955
0.724 1.865 11.946
0.649 4.313 6.305
0.679 6.643 0.702
2.298 -1.058 10.700
2.275 1.297 5.011
2.244 1.415 15.065
2.253 3.771 9.460
2.180 6.188 3.801
3.865 -1.515 13.808
3.872 0.860 8.256
3.865 3.187 2.549
3.798 3.338 12.566
3.810 5.743 6.950
5.515 0.282 1.314
5.376 0.381 11.323
5.453 2.775 5.677
5.457 5.218 0.097
5.391 5.212 10.078
7.130 -0.160 4.430
7.006 -0.048 14.480
7.037 2.304 8.839
```